(1)
# Y2CuHgO5
Theoretical powder diffraction line list, λ = 1.5418 Å (Cu Kα). Input: a cell relaxed with PBE.
Kinematic intensities with the Lorentz-polarization factor, no thermal factor.

Cell and atoms:
```
data_Y2CuHgO5
_symmetry_space_group_name_H-M 'P 4/m b m'
_symmetry_Int_Tables_number 127
_symmetry_space_group_name_Hall '-P 4 2ab'
_cell_length_a 6.6235
_cell_length_b 6.6235
_cell_length_c 5.5109
_cell_angle_alpha 90.00
_cell_angle_beta 90.00
_cell_angle_gamma 90.00
loop_
_atom_site_label
_atom_site_type_symbol
_atom_site_fract_x
_atom_site_fract_y
_atom_site_fract_z
Y1 Y 0.1744 0.3256 0.0000
Cu1 Cu 0.0000 0.5000 0.5000
Hg1 Hg 0.0000 0.0000 0.5000
O1 O 0.0000 0.0000 0.0000
O2 O 0.1320 0.6320 0.2466
```

The 10 most intense peaks (2θ from 5° to 70°), sorted by position:
2θ = 24.95°, intensity 32, hkl 1 1 1
2θ = 26.92°, intensity 18, hkl 2 0 0
2θ = 31.52°, intensity 100, hkl 2 0 1
2θ = 32.49°, intensity 29, hkl 0 0 2
2θ = 34.37°, intensity 21, hkl 2 1 1
2θ = 38.44°, intensity 28, hkl 2 2 0
2θ = 43.19°, intensity 23, hkl 3 1 0
2θ = 44.93°, intensity 18, hkl 2 1 2
2θ = 51.19°, intensity 24, hkl 2 2 2
2θ = 57.36°, intensity 21, hkl 2 0 3

(2)
# Tb4Cu2HgOs
Theoretical powder diffraction line list, λ = 1.5418 Å (Cu Kα). Input: a cell relaxed with PBE.
Kinematic intensities with the Lorentz-polarization factor, no thermal factor.

Cell and atoms:
```
data_Tb4Cu2HgOs
_symmetry_space_group_name_H-M 'R -3 m'
_symmetry_Int_Tables_number 166
_symmetry_space_group_name_Hall '-R 3 2"'
_cell_length_a 5.0171
_cell_length_b 5.0171
_cell_length_c 24.4192
_cell_angle_alpha 90.00
_cell_angle_beta 90.00
_cell_angle_gamma 120.00
loop_
_atom_site_label
_atom_site_type_symbol
_atom_site_fract_x
_atom_site_fract_y
_atom_site_fract_z
Tb1 Tb 0.0000 0.0000 0.1171
Tb2 Tb 0.0000 0.0000 0.3684
Cu1 Cu 0.0000 0.0000 0.2463
Hg1 Hg 0.0000 0.0000 0.5000
Os1 Os 0.0000 0.0000 0.0000
```

The 10 most intense peaks (2θ from 5° to 70°), sorted by position:
2θ = 21.71°, intensity 16, hkl 0 1 2
2θ = 21.84°, intensity 5, hkl 0 0 6
2θ = 35.80°, intensity 100, hkl 1 1 0
2θ = 35.96°, intensity 91, hkl 0 1 8
2θ = 42.30°, intensity 8, hkl 2 0 2
2θ = 51.64°, intensity 33, hkl 2 0 8
2θ = 64.32°, intensity 18, hkl 3 0 0
2θ = 64.43°, intensity 33, hkl 1 2 8
2θ = 64.74°, intensity 13, hkl 1 0 16
2θ = 68.76°, intensity 4, hkl 1 1 15

(3)
# CuHg2PS4
Theoretical powder diffraction line list, λ = 1.5418 Å (Cu Kα). Input: a cell relaxed with PBE.
Kinematic intensities with the Lorentz-polarization factor, no thermal factor.

Cell and atoms:
```
data_CuHg2PS4
_symmetry_space_group_name_H-M 'P m n 21'
_symmetry_Int_Tables_number 31
_symmetry_space_group_name_Hall 'P 2ac -2'
_cell_length_a 6.9237
_cell_length_b 8.4906
_cell_length_c 6.1231
_cell_angle_alpha 90.00
_cell_angle_beta 90.00
_cell_angle_gamma 90.00
loop_
_atom_site_label
_atom_site_type_symbol
_atom_site_fract_x
_atom_site_fract_y
_atom_site_fract_z
Cu1 Cu 0.0000 0.0859 0.0000
Hg1 Hg 0.1969 0.3638 0.5506
P1 P 0.0000 0.8229 0.5022
S1 S 0.0000 0.0428 0.6211
S2 S 0.0000 0.8302 0.1507
S3 S 0.2407 0.2853 0.0862
```

The 10 most intense peaks (2θ from 5° to 70°), sorted by position:
2θ = 10.42°, intensity 45, hkl 0 1 0
2θ = 17.86°, intensity 56, hkl 0 1 1
2θ = 25.53°, intensity 100, hkl 0 2 1
2θ = 27.83°, intensity 56, hkl 2 1 0
2θ = 29.17°, intensity 70, hkl 0 0 2
2θ = 31.50°, intensity 30, hkl 2 1 1
2θ = 36.57°, intensity 28, hkl 2 2 1
2θ = 40.75°, intensity 32, hkl 2 1 2
2θ = 44.68°, intensity 22, hkl 3 2 0
2θ = 54.26°, intensity 24, hkl 3 2 2

(4)
# Pa2Cu2HgS6
Theoretical powder diffraction line list, λ = 1.5418 Å (Cu Kα). Input: a cell relaxed with PBE.
Kinematic intensities with the Lorentz-polarization factor, no thermal factor.

Cell and atoms:
```
data_Pa2Cu2HgS6
_symmetry_space_group_name_H-M 'P -1'
_symmetry_Int_Tables_number 2
_symmetry_space_group_name_Hall '-P 1'
_cell_length_a 7.1740
_cell_length_b 7.1972
_cell_length_c 7.7897
_cell_angle_alpha 89.92
_cell_angle_beta 62.60
_cell_angle_gamma 60.13
loop_
_atom_site_label
_atom_site_type_symbol
_atom_site_fract_x
_atom_site_fract_y
_atom_site_fract_z
Pa1 Pa 0.1704 0.1616 0.4976
Cu1 Cu 0.4280 0.2119 0.9336
Hg1 Hg 0.5000 0.5000 0.5000
S1 S 0.1624 0.9222 0.2450
S2 S 0.1635 0.4235 0.2507
S3 S 0.3297 0.0791 0.7551
```

The 10 most intense peaks (2θ from 5° to 70°), sorted by position:
2θ = 13.40°, intensity 85, hkl 0 0 1
2θ = 14.92°, intensity 21, hkl 1 0 1
2θ = 24.78°, intensity 80, hkl 2 1 1
2θ = 28.18°, intensity 53, hkl 1 -1 0
2θ = 28.30°, intensity 100, hkl 1 2 -1
2θ = 36.85°, intensity 33, hkl -1 1 1
2θ = 37.00°, intensity 56, hkl 2 1 3
2θ = 45.82°, intensity 21, hkl 3 3 2
2θ = 45.91°, intensity 19, hkl 3 3 0
2θ = 48.54°, intensity 26, hkl 1 -1 4

(5)
# Cu2HgPb
Theoretical powder diffraction line list, λ = 1.5418 Å (Cu Kα). Input: a cell relaxed with PBE.
Kinematic intensities with the Lorentz-polarization factor, no thermal factor.

Cell and atoms:
```
data_Cu2HgPb
_symmetry_space_group_name_H-M 'P 4 m m'
_symmetry_Int_Tables_number 99
_symmetry_space_group_name_Hall 'P 4 -2'
_cell_length_a 3.3108
_cell_length_b 3.3108
_cell_length_c 7.2297
_cell_angle_alpha 90.00
_cell_angle_beta 90.00
_cell_angle_gamma 90.00
loop_
_atom_site_label
_atom_site_type_symbol
_atom_site_fract_x
_atom_site_fract_y
_atom_site_fract_z
Cu1 Cu 0.0000 0.0000 0.0000
Cu2 Cu 0.5000 0.5000 0.1429
Hg1 Hg 0.0000 0.0000 0.3789
Pb1 Pb 0.5000 0.5000 0.7403
```

The 10 most intense peaks (2θ from 5° to 70°), sorted by position:
2θ = 29.68°, intensity 94, hkl 1 0 1
2θ = 36.81°, intensity 100, hkl 1 0 2
2θ = 37.31°, intensity 25, hkl 0 0 3
2θ = 38.45°, intensity 75, hkl 1 1 0
2θ = 46.62°, intensity 17, hkl 1 0 3
2θ = 54.66°, intensity 33, hkl 1 1 3
2θ = 55.51°, intensity 26, hkl 2 0 0
2θ = 64.21°, intensity 23, hkl 2 1 1
2θ = 68.48°, intensity 32, hkl 2 1 2
2θ = 68.80°, intensity 17, hkl 2 0 3

(6)
# Cu6HgPd6
Theoretical powder diffraction line list, λ = 1.5418 Å (Cu Kα). Input: a cell relaxed with PBE.
Kinematic intensities with the Lorentz-polarization factor, no thermal factor.

Cell and atoms:
```
data_Cu6HgPd6
_symmetry_space_group_name_H-M 'P 6/m m m'
_symmetry_Int_Tables_number 191
_symmetry_space_group_name_Hall '-P 6 2'
_cell_length_a 4.9619
_cell_length_b 4.9619
_cell_length_c 8.8661
_cell_angle_alpha 90.00
_cell_angle_beta 90.00
_cell_angle_gamma 120.00
loop_
_atom_site_label
_atom_site_type_symbol
_atom_site_fract_x
_atom_site_fract_y
_atom_site_fract_z
Cu1 Cu 0.0000 0.5000 0.2497
Hg1 Hg 0.0000 0.0000 0.0000
Pd1 Pd 0.0000 0.0000 0.3491
Pd2 Pd 0.3333 0.6667 0.0000
Pd3 Pd 0.3333 0.6667 0.5000
```

The 10 most intense peaks (2θ from 5° to 70°), sorted by position:
2θ = 36.21°, intensity 76, hkl 1 1 0
2θ = 36.91°, intensity 48, hkl 1 0 3
2θ = 40.71°, intensity 28, hkl 0 0 4
2θ = 41.72°, intensity 100, hkl 1 1 2
2θ = 42.05°, intensity 38, hkl 2 0 0
2θ = 47.00°, intensity 35, hkl 2 0 2
2θ = 47.87°, intensity 23, hkl 1 1 3
2θ = 52.67°, intensity 17, hkl 2 0 3
2θ = 65.59°, intensity 18, hkl 2 1 3
2θ = 68.89°, intensity 22, hkl 3 0 2

(7)
# Cu2HgPd8
Theoretical powder diffraction line list, λ = 1.5418 Å (Cu Kα). Input: a cell relaxed with PBE.
Kinematic intensities with the Lorentz-polarization factor, no thermal factor.

Cell and atoms:
```
data_Cu2HgPd8
_symmetry_space_group_name_H-M 'C 1 2/m 1'
_symmetry_Int_Tables_number 12
_symmetry_space_group_name_Hall '-C 2y'
_cell_length_a 14.1217
_cell_length_b 3.9532
_cell_length_c 6.3193
_cell_angle_alpha 90.00
_cell_angle_beta 106.75
_cell_angle_gamma 90.00
loop_
_atom_site_label
_atom_site_type_symbol
_atom_site_fract_x
_atom_site_fract_y
_atom_site_fract_z
Cu1 Cu 0.2278 0.0000 0.1379
Hg1 Hg 0.0000 0.5000 0.5000
Pd1 Pd 0.0494 0.0000 0.2236
Pd2 Pd 0.0977 0.5000 0.9643
Pd3 Pd 0.1440 0.0000 0.7020
Pd4 Pd 0.1847 0.5000 0.4138
```

The 10 most intense peaks (2θ from 5° to 70°), sorted by position:
2θ = 13.09°, intensity 3, hkl 2 0 0
2θ = 28.76°, intensity 3, hkl 1 1 1
2θ = 30.90°, intensity 3, hkl 3 1 -1
2θ = 39.57°, intensity 100, hkl 5 1 -1
2θ = 45.23°, intensity 17, hkl 4 0 -3
2θ = 45.91°, intensity 17, hkl 0 2 0
2θ = 46.90°, intensity 15, hkl 6 0 1
2θ = 66.42°, intensity 11, hkl 4 2 -3
2θ = 67.19°, intensity 10, hkl 10 0 -2
2θ = 67.72°, intensity 10, hkl 6 2 1

(8)
# CuHgPd5
Theoretical powder diffraction line list, λ = 1.5418 Å (Cu Kα). Input: a cell relaxed with PBE.
Kinematic intensities with the Lorentz-polarization factor, no thermal factor.

Cell and atoms:
```
data_CuHgPd5
_symmetry_space_group_name_H-M 'I m m 2'
_symmetry_Int_Tables_number 44
_symmetry_space_group_name_Hall 'I 2 -2'
_cell_length_a 5.1522
_cell_length_b 6.9493
_cell_length_c 7.3180
_cell_angle_alpha 90.00
_cell_angle_beta 90.00
_cell_angle_gamma 90.00
loop_
_atom_site_label
_atom_site_type_symbol
_atom_site_fract_x
_atom_site_fract_y
_atom_site_fract_z
Cu1 Cu 0.0000 0.0000 0.0000
Hg1 Hg 0.0000 0.5000 0.8600
Pd1 Pd 0.0000 0.1858 0.3143
Pd2 Pd 0.0000 0.5000 0.5068
Pd3 Pd 0.2430 0.0000 0.6803
```

The 10 most intense peaks (2θ from 5° to 70°), sorted by position:
2θ = 25.64°, intensity 70, hkl 0 2 0
2θ = 33.43°, intensity 82, hkl 1 2 1
2θ = 34.83°, intensity 23, hkl 2 0 0
2θ = 39.14°, intensity 100, hkl 0 1 3
2θ = 39.28°, intensity 92, hkl 2 1 1
2θ = 42.80°, intensity 34, hkl 1 3 0
2θ = 42.94°, intensity 49, hkl 2 0 2
2θ = 48.93°, intensity 30, hkl 1 2 3
2θ = 49.84°, intensity 32, hkl 1 3 2
2θ = 50.68°, intensity 45, hkl 2 2 2